Simulated X-ray powder pattern
Compound: Sr3HfGe2O9
Radiation: copper Kα
Structure: a crystal structure in Alexandria, relaxed with PBE
Kinematic intensities with the Lorentz-polarization factor, no thermal factor.

Main lines, low angle first (2θ from 10° to 90°):
2θ/deg  I (rel.)  (hkl)
18.4  6  1 0 0
22.5  10  1 0 1
32.1  100  1 1 0
46.0  33  2 0 2
57.0  9  1 0 4
57.2  29  3 0 0
67.0  9  0 2 4
67.2  10  2 2 0
76.2  8  2 1 4
76.4  9  3 1 2

Structure:
a b c (Å): 5.5732 5.5732 6.8537
angles (deg): 90.00 90.00 120.00
Atoms (fractional coordinates):
Sr (0.0000, 0.0000, 0.0000)
Sr (0.3333, 0.6667, 0.6820)
Sr (0.6667, 0.3333, 0.3180)
Hf (0.0000, 0.0000, 0.5000)
Ge (0.3333, 0.6667, 0.1652)
Ge (0.6667, 0.3333, 0.8348)
O (0.0000, 0.5000, 0.0000)
O (0.1726, 0.3451, 0.3238)
O (0.1726, 0.8274, 0.3238)
O (0.3451, 0.1726, 0.6762)
O (0.5000, 0.0000, 0.0000)
O (0.5000, 0.5000, 0.0000)
O (0.6549, 0.8274, 0.3238)
O (0.8274, 0.1726, 0.6762)
O (0.8274, 0.6549, 0.6762)